# Li2MnF5
Theoretical PXRD pattern, CuKα. Input: DFT lattice parameters and positions (GGA+U).
Neutral-atom scattering factors, no anomalous dispersion.

Top 6 peaks for 2θ = 10–90°, in order of falling intensity:
2θ = 25.18°, rel. 100.0, (1 1 1)
2θ = 17.85°, rel. 58.1, (0 2 0)
2θ = 25.63°, rel. 50.9, (0 2 2)
2θ = 18.24°, rel. 41.5, (0 0 2)
2θ = 44.08°, rel. 34.4, (2 0 0)
2θ = 51.67°, rel. 33.8, (1 3 4)

Structure:
```
data_Li2MnF5
_chemical_formula_sum 'Li8 Mn4 F20'
_cell_length_a 4.108
_cell_length_b 9.937
_cell_length_c 9.729
_cell_angle_alpha 90.00
_cell_angle_beta 90.00
_cell_angle_gamma 90.00
_symmetry_space_group_name_H-M 'C m c m'
_symmetry_Int_Tables_number 63
_symmetry_space_group_name_Hall '-C 2c 2'
loop_
_atom_site_label
_atom_site_type_symbol
_atom_site_fract_x
_atom_site_fract_y
_atom_site_fract_z
_atom_site_occupancy
Li1 Li 0.000 0.125 0.080 1
Mn1 Mn 0.000 0.203 0.750 1
F1 F 0.000 0.068 0.615 1
F2 F 0.000 0.245 0.250 1
F3 F 0.000 0.330 0.602 1
```